[1]
Theoretical powder diffractogram of MgPa2P2N6 for λ = 1.5418 Å (Cu Kα), from a GGA-PBE-relaxed structure.
Kinematic intensities with the Lorentz-polarization factor, no thermal factor.

Structure:
```
data_MgPa2P2N6
_symmetry_space_group_name_H-M 'P -3'
_symmetry_Int_Tables_number 147
_cell_length_a 5.6570
_cell_length_b 5.6570
_cell_length_c 5.8719
_cell_angle_alpha 90.00
_cell_angle_beta 90.00
_cell_angle_gamma 120.00
loop_
_symmetry_equiv_pos_as_xyz
'x,y,z'
'-x,-y,-z'
'-y,x-y,z'
'y,-x+y,-z'
'-x+y,-x,z'
'x-y,x,-z'
loop_
_atom_site_label
_atom_site_type_symbol
_atom_site_fract_x
_atom_site_fract_y
_atom_site_fract_z
Mg1 Mg 0.0000 0.0000 0.0000
Pa1 Pa 0.3333 0.6667 0.8498
P1 P 0.3333 0.6667 0.3241
N1 N 0.0805 0.3836 0.1908
```

Largest 8 diffraction maxima, in order of rising 2θ, 15 to 90 degrees two-theta:
| Position (°2θ) | Rel. int. |
| --- | --- |
| 15.1 | 61 |
| 18.1 | 78 |
| 23.7 | 100 |
| 31.6 | 92 |
| 35.7 | 91 |
| 39.9 | 38 |
| 48.4 | 45 |
| 59.0 | 47 |

[2]
Theoretical powder diffractogram of TaTeH for λ = 1.5418 Å (Cu Kα), from a GGA-PBE-relaxed structure.
Kinematic intensities with the Lorentz-polarization factor, no thermal factor.

Structure:
```
data_TaTeH
_symmetry_space_group_name_H-M 'P 1 21/m 1'
_symmetry_Int_Tables_number 11
_cell_length_a 4.5740
_cell_length_b 3.6099
_cell_length_c 6.9883
_cell_angle_alpha 90.00
_cell_angle_beta 93.43
_cell_angle_gamma 90.00
loop_
_symmetry_equiv_pos_as_xyz
'x,y,z'
'-x,-y,-z'
'-x,y+1/2,-z'
'x,-y+1/2,z'
loop_
_atom_site_label
_atom_site_type_symbol
_atom_site_fract_x
_atom_site_fract_y
_atom_site_fract_z
Ta1 Ta 0.2423 0.2500 0.0191
Te1 Te 0.2775 0.7500 0.7082
H1 H 0.1415 0.7500 0.1253
```

Largest 8 diffraction maxima, in order of rising 2θ, 15 to 90 degrees two-theta:
| Position (°2θ) | Rel. int. |
| --- | --- |
| 23.9 | 29 |
| 27.8 | 62 |
| 33.7 | 100 |
| 34.6 | 63 |
| 38.7 | 43 |
| 39.5 | 54 |
| 40.3 | 84 |
| 41.8 | 90 |

[3]
Theoretical powder diffractogram of Tm2TePd for λ = 1.5418 Å (Cu Kα), from a GGA-PBE-relaxed structure.
Kinematic intensities with the Lorentz-polarization factor, no thermal factor.

Structure:
```
data_Tm2TePd
_symmetry_space_group_name_H-M 'C m c m'
_symmetry_Int_Tables_number 63
_symmetry_space_group_name_Hall '-C 2c 2'
_cell_length_a 3.9526
_cell_length_b 23.0007
_cell_length_c 4.4224
_cell_angle_alpha 90.00
_cell_angle_beta 90.00
_cell_angle_gamma 90.00
loop_
_atom_site_label
_atom_site_type_symbol
_atom_site_fract_x
_atom_site_fract_y
_atom_site_fract_z
Tm1 Tm 0.0000 0.0581 0.2500
Tm2 Tm 0.0000 0.3373 0.2500
Te1 Te 0.0000 0.1960 0.2500
Pd1 Pd 0.0000 0.4593 0.2500
```

Largest 8 diffraction maxima, in order of rising 2θ, 15 to 90 degrees two-theta:
| Position (°2θ) | Rel. int. |
| --- | --- |
| 30.6 | 100 |
| 31.1 | 28 |
| 32.6 | 21 |
| 35.5 | 27 |
| 37.3 | 18 |
| 40.8 | 31 |
| 41.1 | 64 |
| 45.9 | 22 |